# 1
This entry pairs a crystal structure of KSm2PuTe4 with its computed PXRD pattern. Radiation: Cu Kα (λ = 1.5418 Å). Structure: DFT lattice parameters and positions (PBE).
Intensities are scaled so that the largest is 100.

Cell and atoms:
```
data_KSm2PuTe4
_cell_length_a 7.878
_cell_length_b 4.481
_cell_length_c 7.960
_cell_angle_alpha 90.00
_cell_angle_beta 108.72
_cell_angle_gamma 90.00
_symmetry_space_group_name_H-M 'P 1 2/m 1'
_symmetry_Int_Tables_number 10
_symmetry_space_group_name_Hall '-P 2y'
loop_
_atom_site_label
_atom_site_type_symbol
_atom_site_fract_x
_atom_site_fract_y
_atom_site_fract_z
K1 K 0.000 0.000 0.000
Sm1 Sm 0.000 0.500 0.500
Sm2 Sm 0.500 0.000 0.500
Pu1 Pu 0.500 0.500 0.000
Te1 Te 0.255 0.000 0.744
Te2 Te 0.263 0.500 0.266
```

Peak list (10 most intense, 10 to 90 degrees two-theta, sorted by position)
2θ 11.86, I 9; 2θ 27.74, I 100; 2θ 39.04, I 13; 2θ 39.47, I 26; 2θ 39.79, I 25; 2θ 40.25, I 12; 2θ 49.58, I 13; 2θ 57.30, I 13; 2θ 64.60, I 12; 2θ 65.04, I 12

---

# 2
This entry pairs a crystal structure of K4Pu3SnTe8 with its computed PXRD pattern. Radiation: Cu Kα (λ = 1.5418 Å). Structure: DFT lattice parameters and positions (PBE).
Intensities are scaled so that the largest is 100.

Cell and atoms:
```
data_K4Pu3SnTe8
_cell_length_a 9.1140
_cell_length_b 9.1140
_cell_length_c 8.3639
_cell_angle_alpha 90.00
_cell_angle_beta 90.00
_cell_angle_gamma 120.00
_symmetry_space_group_name_H-M 'P -3 m 1'
_symmetry_Int_Tables_number 164
_symmetry_space_group_name_Hall '-P 3 2"'
loop_
_atom_site_label
_atom_site_type_symbol
_atom_site_fract_x
_atom_site_fract_y
_atom_site_fract_z
K1 K 0.0000 0.0000 0.0000
K2 K 0.0000 0.5000 0.0000
Pu1 Pu 0.0000 0.5000 0.5000
Sn1 Sn 0.0000 0.0000 0.5000
Te1 Te 0.1711 0.3423 0.7060
Te2 Te 0.3333 0.6667 0.2942
```

Peak list (10 most intense, 10 to 90 degrees two-theta, sorted by position)
2θ 10.58, I 76; 2θ 24.95, I 76; 2θ 31.16, I 100; 2θ 39.56, I 80; 2θ 41.06, I 19; 2θ 49.32, I 15; 2θ 51.19, I 25; 2θ 60.05, I 15; 2θ 66.56, I 22; 2θ 71.78, I 27

---

# 3
This entry pairs a crystal structure of K2TbPuTe4 with its computed PXRD pattern. Radiation: Cu Kα (λ = 1.5418 Å). Structure: DFT lattice parameters and positions (PBE).
Intensities are scaled so that the largest is 100.

Cell and atoms:
```
data_K2TbPuTe4
_cell_length_a 7.885
_cell_length_b 4.546
_cell_length_c 8.619
_cell_angle_alpha 90.00
_cell_angle_beta 107.77
_cell_angle_gamma 90.00
_symmetry_space_group_name_H-M 'P 1 2/m 1'
_symmetry_Int_Tables_number 10
_symmetry_space_group_name_Hall '-P 2y'
loop_
_atom_site_label
_atom_site_type_symbol
_atom_site_fract_x
_atom_site_fract_y
_atom_site_fract_z
K1 K 0.000 0.000 0.000
K2 K 0.500 0.500 0.000
Tb1 Tb 0.000 0.500 0.500
Pu1 Pu 0.500 0.000 0.500
Te1 Te 0.233 0.000 0.710
Te2 Te 0.261 0.500 0.291
```

Peak list (10 most intense, 10 to 90 degrees two-theta, sorted by position)
2θ 10.78, I 55; 2θ 26.87, I 100; 2θ 34.17, I 21; 2θ 37.06, I 35; 2θ 39.62, I 38; 2θ 41.18, I 14; 2θ 46.67, I 13; 2θ 48.52, I 20; 2θ 60.79, I 12; 2θ 64.37, I 17

---

# 4
This entry pairs a crystal structure of KPuTe4 with its computed PXRD pattern. Radiation: Cu Kα (λ = 1.5418 Å). Structure: DFT lattice parameters and positions (PBE).
Intensities are scaled so that the largest is 100.

Cell and atoms:
```
data_KPuTe4
_cell_length_a 6.826
_cell_length_b 6.826
_cell_length_c 9.016
_cell_angle_alpha 90.00
_cell_angle_beta 90.00
_cell_angle_gamma 90.00
_symmetry_space_group_name_H-M 'P 4/n b m'
_symmetry_Int_Tables_number 125
loop_
_symmetry_equiv_pos_as_xyz
'x,y,z'
'-x,-y,-z'
'-y+1/2,x,z'
'y+1/2,-x,-z'
'-x+1/2,-y+1/2,z'
'x+1/2,y+1/2,-z'
'y,-x+1/2,z'
'-y,x+1/2,-z'
'x,-y+1/2,-z'
'-x,y+1/2,z'
'-y+1/2,-x+1/2,-z'
'y+1/2,x+1/2,z'
'-x+1/2,y,-z'
'x+1/2,-y,z'
'y,x,-z'
'-y,-x,z'
loop_
_atom_site_label
_atom_site_type_symbol
_atom_site_fract_x
_atom_site_fract_y
_atom_site_fract_z
K1 K 0.250 0.250 0.000
Pu1 Pu 0.250 0.250 0.500
Te1 Te 0.102 0.602 0.290
```

Peak list (10 most intense, 10 to 90 degrees two-theta, sorted by position)
2θ 27.07, I 96; 2θ 30.93, I 100; 2θ 32.92, I 49; 2θ 35.18, I 26; 2θ 39.99, I 29; 2θ 41.85, I 49; 2θ 42.20, I 24; 2θ 43.09, I 21; 2θ 57.77, I 26; 2θ 61.16, I 22

---

# 5
This entry pairs a crystal structure of KPu2Te3 with its computed PXRD pattern. Radiation: Cu Kα (λ = 1.5418 Å). Structure: DFT lattice parameters and positions (PBE).
Intensities are scaled so that the largest is 100.

Cell and atoms:
```
data_KPu2Te3
_cell_length_a 4.5199
_cell_length_b 4.5199
_cell_length_c 23.7938
_cell_angle_alpha 90.00
_cell_angle_beta 90.00
_cell_angle_gamma 120.00
_symmetry_space_group_name_H-M 'P 63/m m c'
_symmetry_Int_Tables_number 194
_symmetry_space_group_name_Hall '-P 6c 2c'
loop_
_atom_site_label
_atom_site_type_symbol
_atom_site_fract_x
_atom_site_fract_y
_atom_site_fract_z
K1 K 0.0000 0.0000 0.2500
Pu1 Pu 0.3333 0.6667 0.0777
Te1 Te 0.0000 0.0000 0.0000
Te2 Te 0.3333 0.6667 0.6491
```

Peak list (10 most intense, 10 to 90 degrees two-theta, sorted by position)
2θ 25.37, I 71; 2θ 27.27, I 69; 2θ 29.55, I 100; 2θ 39.89, I 77; 2θ 41.20, I 58; 2θ 50.42, I 23; 2θ 58.69, I 21; 2θ 62.29, I 23; 2θ 66.14, I 21; 2θ 73.33, I 22

---

# 6
This entry pairs a crystal structure of K5Rb6 with its computed PXRD pattern. Radiation: Cu Kα (λ = 1.5418 Å). Structure: DFT lattice parameters and positions (PBE).
Intensities are scaled so that the largest is 100.

Cell and atoms:
```
data_K5Rb6
_cell_length_a 7.931
_cell_length_b 16.823
_cell_length_c 13.848
_cell_angle_alpha 90.00
_cell_angle_beta 90.66
_cell_angle_gamma 90.00
_symmetry_space_group_name_H-M 'C 1 2/m 1'
_symmetry_Int_Tables_number 12
_symmetry_space_group_name_Hall '-C 2y'
loop_
_atom_site_label
_atom_site_type_symbol
_atom_site_fract_x
_atom_site_fract_y
_atom_site_fract_z
K1 K 0.000 0.000 0.000
K2 K 0.000 0.289 0.000
K3 K 0.000 0.368 0.500
Rb1 Rb 0.006 0.150 0.699
Rb2 Rb 0.006 0.500 0.802
```

Peak list (10 most intense, 10 to 90 degrees two-theta, sorted by position)
2θ 19.39, I 54; 2θ 22.09, I 35; 2θ 22.42, I 90; 2θ 22.80, I 49; 2θ 23.02, I 48; 2θ 23.22, I 99; 2θ 23.36, I 100; 2θ 34.56, I 28; 2θ 38.95, I 36; 2θ 39.39, I 31

---

# 7
This entry pairs a crystal structure of K6Rb5 with its computed PXRD pattern. Radiation: Cu Kα (λ = 1.5418 Å). Structure: DFT lattice parameters and positions (PBE).
Intensities are scaled so that the largest is 100.

Cell and atoms:
```
data_K6Rb5
_cell_length_a 13.985
_cell_length_b 20.141
_cell_length_c 7.705
_cell_angle_alpha 90.00
_cell_angle_beta 123.41
_cell_angle_gamma 90.00
_symmetry_space_group_name_H-M 'C 1 2/m 1'
_symmetry_Int_Tables_number 12
_symmetry_space_group_name_Hall '-C 2y'
loop_
_atom_site_label
_atom_site_type_symbol
_atom_site_fract_x
_atom_site_fract_y
_atom_site_fract_z
K1 K 0.189 0.000 0.194
K2 K 0.191 0.131 0.694
Rb1 Rb 0.000 0.214 0.000
Rb2 Rb 0.000 0.351 0.500
Rb3 Rb 0.000 0.500 0.000
```

Peak list (10 most intense, 10 to 90 degrees two-theta, sorted by position)
2θ 15.18, I 13; 2θ 17.55, I 15; 2θ 22.43, I 62; 2θ 23.09, I 37; 2θ 23.27, I 100; 2θ 33.03, I 15; 2θ 38.93, I 15; 2θ 40.66, I 18; 2θ 44.35, I 17; 2θ 45.75, I 19

---

# 8
This entry pairs a crystal structure of K3Rb with its computed PXRD pattern. Radiation: Cu Kα (λ = 1.5418 Å). Structure: DFT lattice parameters and positions (PBE).
Intensities are scaled so that the largest is 100.

Cell and atoms:
```
data_K3Rb
_cell_length_a 4.587
_cell_length_b 8.594
_cell_length_c 8.008
_cell_angle_alpha 90.00
_cell_angle_beta 90.00
_cell_angle_gamma 90.00
_symmetry_space_group_name_H-M 'P m m 2'
_symmetry_Int_Tables_number 25
_symmetry_space_group_name_Hall 'P 2 -2'
loop_
_atom_site_label
_atom_site_type_symbol
_atom_site_fract_x
_atom_site_fract_y
_atom_site_fract_z
K1 K 0.000 0.000 0.000
K2 K 0.000 0.500 0.006
K3 K 0.500 0.000 0.499
Rb1 Rb 0.500 0.500 0.505
```

Peak list (10 most intense, 10 to 90 degrees two-theta, sorted by position)
2θ 20.67, I 61; 2θ 22.20, I 51; 2θ 22.34, I 100; 2θ 30.52, I 44; 2θ 30.62, I 87; 2θ 39.04, I 21; 2θ 44.58, I 28; 2θ 44.80, I 14; 2θ 48.11, I 34; 2θ 50.55, I 19

---

# 9
This entry pairs a crystal structure of K3Rb4 with its computed PXRD pattern. Radiation: Cu Kα (λ = 1.5418 Å). Structure: DFT lattice parameters and positions (PBE).
Intensities are scaled so that the largest is 100.

Cell and atoms:
```
data_K3Rb4
_cell_length_a 15.322
_cell_length_b 7.098
_cell_length_c 10.696
_cell_angle_alpha 90.00
_cell_angle_beta 97.46
_cell_angle_gamma 90.00
_symmetry_space_group_name_H-M 'C 1 2/m 1'
_symmetry_Int_Tables_number 12
_symmetry_space_group_name_Hall '-C 2y'
loop_
_atom_site_label
_atom_site_type_symbol
_atom_site_fract_x
_atom_site_fract_y
_atom_site_fract_z
K1 K 0.000 0.000 0.000
K2 K 0.141 0.000 0.427
Rb1 Rb 0.073 0.500 0.711
Rb2 Rb 0.213 0.500 0.148
```

Peak list (10 most intense, 10 to 90 degrees two-theta, sorted by position)
2θ 22.30, I 100; 2θ 25.09, I 19; 2θ 25.92, I 17; 2θ 26.39, I 16; 2θ 36.39, I 14; 2θ 36.74, I 13; 2θ 42.57, I 17; 2θ 43.62, I 16; 2θ 44.21, I 15; 2θ 45.51, I 14

---

# 10
This entry pairs a crystal structure of KRb with its computed PXRD pattern. Radiation: Cu Kα (λ = 1.5418 Å). Structure: DFT lattice parameters and positions (PBE).
Intensities are scaled so that the largest is 100.

Cell and atoms:
```
data_KRb
_cell_length_a 5.449
_cell_length_b 5.449
_cell_length_c 5.449
_cell_angle_alpha 90.00
_cell_angle_beta 90.00
_cell_angle_gamma 90.00
_symmetry_space_group_name_H-M 'P m -3 m'
_symmetry_Int_Tables_number 221
_symmetry_space_group_name_Hall '-P 4 2 3'
loop_
_atom_site_label
_atom_site_type_symbol
_atom_site_fract_x
_atom_site_fract_y
_atom_site_fract_z
K1 K 0.000 0.000 0.000
Rb1 Rb 0.500 0.500 0.500
```

Peak list (10 most intense, 10 to 90 degrees two-theta, sorted by position)
2θ 16.27, I 13; 2θ 23.08, I 100; 2θ 32.87, I 20; 2θ 36.89, I 8; 2θ 40.55, I 43; 2θ 47.18, I 13; 2θ 53.15, I 19; 2θ 63.93, I 21; 2θ 73.77, I 10; 2θ 78.50, I 6

---

# 11
This entry pairs a crystal structure of K24Rb5 with its computed PXRD pattern. Radiation: Cu Kα (λ = 1.5418 Å). Structure: DFT lattice parameters and positions (PBE).
Intensities are scaled so that the largest is 100.

Cell and atoms:
```
data_K24Rb5
_cell_length_a 16.377
_cell_length_b 16.377
_cell_length_c 16.377
_cell_angle_alpha 90.00
_cell_angle_beta 90.00
_cell_angle_gamma 90.00
_symmetry_space_group_name_H-M 'I -4 3 m'
_symmetry_Int_Tables_number 217
_symmetry_space_group_name_Hall 'I -4 2 3'
loop_
_atom_site_label
_atom_site_type_symbol
_atom_site_fract_x
_atom_site_fract_y
_atom_site_fract_z
K1 K 0.042 0.363 0.637
K2 K 0.093 0.093 0.717
Rb1 Rb 0.000 0.000 0.000
Rb2 Rb 0.182 0.182 0.182
```

Peak list (10 most intense, 10 to 90 degrees two-theta, sorted by position)
2θ 20.29, I 8; 2θ 23.04, I 100; 2θ 25.51, I 20; 2θ 26.67, I 13; 2θ 33.74, I 7; 2θ 38.88, I 13; 2θ 40.48, I 28; 2θ 43.51, I 6; 2θ 47.09, I 7; 2θ 55.55, I 6

---

# 12
This entry pairs a crystal structure of K17Rb2 with its computed PXRD pattern. Radiation: Cu Kα (λ = 1.5418 Å). Structure: DFT lattice parameters and positions (PBE).
Intensities are scaled so that the largest is 100.

Cell and atoms:
```
data_K17Rb2
_cell_length_a 15.0032
_cell_length_b 15.0032
_cell_length_c 22.7644
_cell_angle_alpha 90.00
_cell_angle_beta 90.00
_cell_angle_gamma 120.00
_symmetry_space_group_name_H-M 'R -3 m'
_symmetry_Int_Tables_number 166
_symmetry_space_group_name_Hall '-R 3 2"'
loop_
_atom_site_label
_atom_site_type_symbol
_atom_site_fract_x
_atom_site_fract_y
_atom_site_fract_z
K1 K 0.0000 0.0000 0.0974
K2 K 0.0000 0.3036 0.0000
K3 K 0.0000 0.5000 0.5000
K4 K 0.0067 0.5033 0.1490
Rb1 Rb 0.0000 0.0000 0.3273
```

Peak list (10 most intense, 10 to 90 degrees two-theta, sorted by position)
2θ 16.62, I 13; 2θ 20.51, I 24; 2θ 20.73, I 15; 2θ 23.45, I 20; 2θ 23.68, I 100; 2θ 23.88, I 23; 2θ 26.51, I 20; 2θ 37.88, I 14; 2θ 41.34, I 15; 2θ 41.73, I 22